# 1
The following is a theoretical powder diffractogram of V3AuN. It was derived from the PBE geometry in Alexandria, using λ = 1.5418 Å (Cu Kα).
Kinematic intensities with the Lorentz-polarization factor, no thermal factor.

Structural model:
abc: 2.843 4.171 10.872
angles: 91.31 97.45 90.08
Space group P1 (No. 1)
Inequivalent atoms, fractional coordinates:
V 0.000 0.000 0.000 [1 per cell]
V 0.060 0.455 0.125 [1 per cell]
V 0.179 0.469 0.359 [1 per cell]
V 0.444 0.492 0.891 [1 per cell]
V 0.616 0.956 0.234 [1 per cell]
V 0.742 0.985 0.487 [1 per cell]
Au 0.305 0.493 0.615 [1 per cell]
Au 0.873 0.001 0.753 [1 per cell]
N 0.182 0.971 0.365 [1 per cell]
N 0.529 0.724 0.060 [1 per cell]

The 10 most intense peaks (2θ from 10° to 90°), by angle:
(0 0 2), 2θ 16.4, d = 5.389 Å, I 37; (0 1 3), 2θ 33.3, d = 2.691 Å, I 28; (1 -1 0), 2θ 38.5, d = 2.338 Å, I 100; (1 1 0), 2θ 38.6, d = 2.332 Å, I 69; (0 1 -4), 2θ 39.4, d = 2.287 Å, I 63; (0 1 4), 2θ 40.3, d = 2.240 Å, I 73; (1 0 -4), 2θ 43.3, d = 2.089 Å, I 74; (0 2 0), 2θ 43.4, d = 2.085 Å, I 51; (1 0 4), 2θ 49.8, d = 1.832 Å, I 33; (1 2 3), 2θ 63.5, d = 1.464 Å, I 29

---

# 2
The following is a theoretical powder diffractogram of Zr3AuN. It was derived from the PBE geometry in Alexandria, using λ = 1.5418 Å (Cu Kα).
Kinematic intensities with the Lorentz-polarization factor, no thermal factor.

Structural model:
abc: 18.087 4.542 4.484
angles: 90.00 104.34 90.00
Space group C2/m (No. 12)
Inequivalent atoms, fractional coordinates:
Zr 0.059 0.000 0.309 [4 per cell]
Zr 0.071 0.500 0.821 [4 per cell]
Zr 0.196 0.000 0.948 [4 per cell]
Au 0.190 0.500 0.440 [4 per cell]
N 0.070 0.000 0.820 [4 per cell]

The 10 most intense peaks (2θ from 10° to 90°), by angle:
(2 0 0), 2θ 10.1, d = 8.762 Å, I 12; (3 1 1), 2θ 34.8, d = 2.579 Å, I 100; (0 2 0), 2θ 39.7, d = 2.271 Å, I 20; (2 0 -2), 2θ 40.2, d = 2.242 Å, I 19; (8 0 0), 2θ 41.2, d = 2.191 Å, I 16; (2 2 -2), 2θ 57.8, d = 1.595 Å, I 13; (8 2 0), 2θ 58.6, d = 1.576 Å, I 14; (3 3 1), 2θ 68.9, d = 1.363 Å, I 14; (7 1 -3), 2θ 69.6, d = 1.351 Å, I 13; (10 2 -2), 2θ 73.4, d = 1.290 Å, I 11

---

# 3
The following is a theoretical powder diffractogram of Zr6AuN3. It was derived from the PBE geometry in Alexandria, using λ = 1.5418 Å (Cu Kα).
Kinematic intensities with the Lorentz-polarization factor, no thermal factor.

Structural model:
abc: 10.131 3.242 10.343
angles: 90.00 103.69 90.00
Space group P2_1/m (No. 11)
Inequivalent atoms, fractional coordinates:
Zr 0.029 0.250 0.140 [2 per cell]
Zr 0.120 0.750 0.448 [2 per cell]
Zr 0.179 0.250 0.738 [2 per cell]
Zr 0.273 0.750 0.020 [2 per cell]
Zr 0.315 0.250 0.296 [2 per cell]
Zr 0.415 0.250 0.593 [2 per cell]
Au 0.460 0.750 0.846 [2 per cell]
N 0.037 0.750 0.645 [2 per cell]
N 0.123 0.250 0.944 [2 per cell]
N 0.357 0.750 0.440 [2 per cell]

The 10 most intense peaks (2θ from 10° to 90°), by angle:
(0 1 2), 2θ 32.9, d = 2.723 Å, I 35; (1 1 2), 2θ 35.3, d = 2.543 Å, I 30; (4 0 -1), 2θ 35.4, d = 2.533 Å, I 100; (2 1 -2), 2θ 35.6, d = 2.525 Å, I 39; (2 0 3), 2θ 35.8, d = 2.507 Å, I 42; (2 0 -4), 2θ 36.1, d = 2.489 Å, I 53; (0 1 5), 2θ 53.7, d = 1.708 Å, I 19; (0 2 0), 2θ 56.8, d = 1.621 Å, I 16; (6 0 2), 2θ 63.8, d = 1.460 Å, I 16; (4 2 -1), 2θ 68.8, d = 1.365 Å, I 15

---

# 4
The following is a theoretical powder diffractogram of Na8Au. It was derived from the PBE geometry in Alexandria, using λ = 1.5418 Å (Cu Kα).
Kinematic intensities with the Lorentz-polarization factor, no thermal factor.

Structural model:
abc: 10.554 10.554 5.020
angles: 90.00 90.00 90.00
Space group I4/mmm (No. 139)
Inequivalent atoms, fractional coordinates:
Na 0.000 0.315 0.000 [8 per cell]
Na 0.151 0.151 0.500 [8 per cell]
Au 0.000 0.000 0.000 [2 per cell]

The 10 most intense peaks (2θ from 10° to 90°), by angle:
(1 1 0), 2θ 11.9, d = 7.463 Å, I 100; (2 0 0), 2θ 16.8, d = 5.277 Å, I 42; (1 0 1), 2θ 19.6, d = 4.533 Å, I 52; (2 1 1), 2θ 25.9, d = 3.439 Å, I 50; (3 1 0), 2θ 26.7, d = 3.338 Å, I 25; (3 0 1), 2θ 31.0, d = 2.881 Å, I 91; (3 2 1), 2θ 35.5, d = 2.529 Å, I 28; (3 3 0), 2θ 36.1, d = 2.488 Å, I 29; (4 1 1), 2θ 39.5, d = 2.280 Å, I 31; (6 3 1), 2θ 61.8, d = 1.501 Å, I 21